This entry pairs a crystal structure of Tl5Se4 with its computed powder X-ray diffraction pattern. Radiation: copper Kα. Structure: a DFT-relaxed cell (PBE, Alexandria).

Most intense lines, 10 to 90 degrees two-theta, by angle:
- d 3.119, 2θ 28.62, rel. 100.0, hkl 1 1 0
- d 3.108, 2θ 28.73, rel. 45.7, hkl 1 -2 0
- d 2.234, 2θ 40.38, rel. 30.5, hkl 1 0 3
- d 2.178, 2θ 41.47, rel. 17.3, hkl 1 2 -3
- d 2.163, 2θ 41.75, rel. 17.8, hkl 2 -1 0
- d 1.778, 2θ 51.39, rel. 19.6, hkl 2 -2 3

```
data_Tl5Se4
_cell_length_a 4.327
_cell_length_b 7.612
_cell_length_c 9.370
_cell_angle_alpha 112.08
_cell_angle_beta 90.08
_cell_angle_gamma 106.32
_space_group_name_H-M_alt 'P -1'
_space_group_IT_number 2
loop_
_space_group_symop_operation_xyz
'x,y,z'
'-x,-y,-z'
loop_
_atom_site_label
_atom_site_fract_x
_atom_site_fract_y
_atom_site_fract_z
Tl1 0.000 0.000 0.000
Tl2 0.328 0.649 0.211
Tl3 0.350 0.704 0.588
Se1 0.002 0.999 0.301
Se2 0.344 0.692 0.903
```

---

This entry pairs a crystal structure of Tl5Se3 with its computed powder X-ray diffraction pattern. Radiation: copper Kα. Structure: a DFT-relaxed cell (PBE, Alexandria).

Most intense lines, 10 to 90 degrees two-theta, by angle:
- d 3.681, 2θ 24.18, rel. 16.6, hkl 1 2 1
- d 3.307, 2θ 26.96, rel. 16.0, hkl 1 2 2
- d 2.875, 2θ 31.11, rel. 100.0, hkl 2 1 3
- d 2.714, 2θ 33.01, rel. 48.9, hkl 1 3 0
- d 1.920, 2θ 47.35, rel. 14.7, hkl 4 2 0
- d 1.660, 2θ 55.36, rel. 12.8, hkl 5 0 2

```
data_Tl5Se3
_cell_length_a 8.581
_cell_length_b 8.581
_cell_length_c 13.030
_cell_angle_alpha 90.00
_cell_angle_beta 90.00
_cell_angle_gamma 90.00
_space_group_name_H-M_alt 'P 4/n'
_space_group_IT_number 85
loop_
_space_group_symop_operation_xyz
'x,y,z'
'-x,-y,-z'
'-y+1/2,x,z'
'y+1/2,-x,-z'
'-x+1/2,-y+1/2,z'
'x+1/2,y+1/2,-z'
'y,-x+1/2,z'
'-y,x+1/2,-z'
loop_
_atom_site_label
_atom_site_fract_x
_atom_site_fract_y
_atom_site_fract_z
Tl1 0.077 0.629 0.099
Tl2 0.077 0.871 0.599
Tl3 0.250 0.250 0.213
Tl4 0.250 0.250 0.709
Se1 0.082 0.590 0.752
Se2 0.250 0.250 0.475
Se3 0.250 0.250 0.986
```

---

This entry pairs a crystal structure of TlSe with its computed powder X-ray diffraction pattern. Radiation: copper Kα. Structure: a DFT-relaxed cell (PBE, Alexandria).

Most intense lines, 10 to 90 degrees two-theta, by angle:
- d 3.533, 2θ 25.20, rel. 100.0, hkl 1 1 3
- d 3.117, 2θ 28.64, rel. 72.8, hkl 0 4 0
- d 2.757, 2θ 32.47, rel. 52.7, hkl 1 3 3
- d 2.591, 2θ 34.62, rel. 50.4, hkl 2 0 2
- d 2.296, 2θ 39.23, rel. 48.2, hkl 0 2 6
- d 1.993, 2θ 45.52, rel. 47.0, hkl 2 4 2

```
data_TlSe
_cell_length_a 5.531
_cell_length_b 12.469
_cell_length_c 14.820
_cell_angle_alpha 90.00
_cell_angle_beta 90.00
_cell_angle_gamma 90.00
_space_group_name_H-M_alt 'F d d d'
_space_group_IT_number 70
loop_
_space_group_symop_operation_xyz
'x,y,z'
'-x,-y,-z'
'-x+1/4,-y+1/4,z'
'x+1/4,y+1/4,-z'
'x,-y+1/4,-z+1/4'
'-x,y+1/4,z+1/4'
'-x+1/4,y,-z+1/4'
'x+1/4,-y,z+1/4'
'x,y+1/2,z+1/2'
'-x,-y+1/2,-z+1/2'
'-x+1/4,-y+3/4,z+1/2'
'x+1/4,y+3/4,-z+1/2'
'x,-y+3/4,-z+3/4'
'-x,y+3/4,z+3/4'
'-x+1/4,y+1/2,-z+3/4'
'x+1/4,-y+1/2,z+3/4'
'x+1/2,y,z+1/2'
'-x+1/2,-y,-z+1/2'
'-x+3/4,-y+1/4,z+1/2'
'x+3/4,y+1/4,-z+1/2'
'x+1/2,-y+1/4,-z+3/4'
'-x+1/2,y+1/4,z+3/4'
'-x+3/4,y,-z+3/4'
'x+3/4,-y,z+3/4'
'x+1/2,y+1/2,z'
'-x+1/2,-y+1/2,-z'
'-x+3/4,-y+3/4,z'
'x+3/4,y+3/4,-z'
'x+1/2,-y+3/4,-z+1/4'
'-x+1/2,y+3/4,z+1/4'
'-x+3/4,y+1/2,-z+1/4'
'x+3/4,-y+1/2,z+1/4'
loop_
_atom_site_label
_atom_site_fract_x
_atom_site_fract_y
_atom_site_fract_z
Tl1 0.125 0.125 0.308
Se1 0.110 0.375 0.875
```

---

This entry pairs a crystal structure of TlSe8 with its computed powder X-ray diffraction pattern. Radiation: copper Kα. Structure: a DFT-relaxed cell (PBE, Alexandria).

Most intense lines, 10 to 90 degrees two-theta, by angle:
- d 4.042, 2θ 21.99, rel. 84.5, hkl 0 0 2
- d 2.589, 2θ 34.65, rel. 100.0, hkl 3 0 1
- d 1.932, 2θ 47.03, rel. 20.9, hkl 3 3 0
- d 1.919, 2θ 47.38, rel. 40.7, hkl 3 0 3
- d 1.743, 2θ 52.49, rel. 28.4, hkl 3 3 2
- d 1.208, 2θ 79.28, rel. 14.5, hkl 6 3 1

```
data_TlSe8
_cell_length_a 8.198
_cell_length_b 8.198
_cell_length_c 8.084
_cell_angle_alpha 90.00
_cell_angle_beta 90.00
_cell_angle_gamma 90.00
_space_group_name_H-M_alt 'I 4/m m m'
_space_group_IT_number 139
_space_group_name_Hall '-I 4 2'
loop_
_atom_site_label
_atom_site_fract_x
_atom_site_fract_y
_atom_site_fract_z
Tl1 0.000 0.000 0.000
Se1 0.000 0.355 0.000
Se2 0.154 0.154 0.500
```